(1)
The following is a theoretical XRD peak list of Hg3Mo. It was derived from the PBE geometry in Alexandria, using a wavelength of 1.5418 Å.
No peak broadening, texture or thermal motion is included.

Main lines, sorted by position (10 to 90 degrees two-theta):
Position (°2θ), I (rel.)
25.7, 30.5
30.6, 42.9
33.4, 55.9
34.6, 46.1
35.6, 100.0
36.9, 43.2
38.4, 43.9
44.2, 30.1
45.1, 39.2
64.0, 31.5
68.5, 25.8
69.2, 33.1

Cell and atoms:
abc: 8.3015 8.3015 3.1829
angles: 90.00 90.00 123.22
Fractional coordinates of all 8 atoms:
Hg  0.2134  0.4094  0.2500
Hg  0.2414  0.7586  0.7500
Hg  0.4094  0.2134  0.7500
Hg  0.5906  0.7866  0.2500
Hg  0.7586  0.2414  0.2500
Hg  0.7866  0.5906  0.7500
Mo  0.0616  0.9384  0.2500
Mo  0.9384  0.0616  0.7500


(2)
The following is a theoretical XRD peak list of MnPd2Au4. It was derived from the PBE geometry in Alexandria, using a wavelength of 1.5418 Å.
No peak broadening, texture or thermal motion is included.

Main lines, sorted by position (10 to 90 degrees two-theta):
Position (°2θ), I (rel.)
20.4, 20.1
22.9, 10.6
34.2, 39.2
35.7, 15.8
37.9, 20.2
38.6, 47.3
40.1, 100.0
40.9, 21.0
41.7, 32.6
44.0, 16.2
60.0, 12.0
72.9, 16.2

Cell and atoms:
abc: 9.3530 5.3374 9.6355
angles: 70.78 32.61 76.61
Fractional coordinates of all 14 atoms:
Mn  0.0000  0.0000  0.0000
Mn  0.2500  0.2500  0.2500
Pd  0.0967  0.5407  0.8736
Pd  0.3764  0.7611  0.1533
Pd  0.5407  0.0967  0.4889
Pd  0.7611  0.3764  0.7093
Au  0.1685  0.3276  0.5818
Au  0.3276  0.1685  0.9221
Au  0.3279  0.6682  0.9224
Au  0.5332  0.7640  0.3064
Au  0.6682  0.3279  0.0815
Au  0.7640  0.5332  0.3964
Au  0.8536  0.9436  0.4860
Au  0.9436  0.8536  0.7168


(3)
The following is a theoretical XRD peak list of Be3AlH9. It was derived from the PBE geometry in Alexandria, using a wavelength of 1.5418 Å.
No peak broadening, texture or thermal motion is included.

Main lines, sorted by position (10 to 90 degrees two-theta):
Position (°2θ), I (rel.)
19.0, 63.6
19.3, 16.0
21.7, 28.4
26.1, 100.0
28.4, 25.9
29.6, 14.0
31.3, 18.4
36.5, 24.3
37.2, 20.8
39.2, 14.1
41.9, 15.4
42.2, 11.3

Cell and atoms:
abc: 6.4192 6.4192 8.2815
angles: 122.70 122.70 52.56
Fractional coordinates of all 26 atoms:
Be  0.0684  0.9316  0.5000
Be  0.3002  0.4702  0.5696
Be  0.4702  0.3002  0.0696
Be  0.4762  0.7120  0.4022
Be  0.7120  0.4762  0.9022
Be  0.9316  0.0684  0.0000
Al  0.5008  0.9708  0.2298
Al  0.9708  0.5008  0.7298
H  0.1023  0.4208  0.5588
H  0.1891  0.7594  0.6151
H  0.1910  0.9734  0.1468
H  0.2445  0.9504  0.4609
H  0.3044  0.3687  0.8857
H  0.3604  0.5473  0.2175
H  0.3687  0.3044  0.3857
H  0.4208  0.1023  0.0588
H  0.5473  0.3604  0.7175
H  0.5768  0.6535  0.0506
H  0.6141  0.8191  0.4000
H  0.6535  0.5768  0.5506
H  0.7594  0.1891  0.1151
H  0.8191  0.6141  0.9000
H  0.8382  0.9154  0.3202
H  0.9154  0.8382  0.8202
H  0.9504  0.2445  0.9609
H  0.9734  0.1910  0.6468


(4)
The following is a theoretical XRD peak list of Dy12Co6Hg. It was derived from the PBE geometry in Alexandria, using a wavelength of 1.5418 Å.
No peak broadening, texture or thermal motion is included.

Main lines, sorted by position (10 to 90 degrees two-theta):
Position (°2θ), I (rel.)
29.3, 46.4
32.2, 58.0
34.9, 100.0
37.4, 22.3
48.2, 24.6
55.7, 36.2
57.4, 11.6
59.2, 39.9
69.0, 21.6
84.1, 11.2
85.6, 17.2
87.1, 17.8

Cell and atoms:
abc: 8.3368 8.3368 8.3368
angles: 109.47 109.47 109.47
Fractional coordinates of all 19 atoms:
Dy  0.1084  0.8061  0.3024
Dy  0.1939  0.3024  0.4963
Dy  0.1939  0.6976  0.8916
Dy  0.3024  0.1084  0.8061
Dy  0.3024  0.4963  0.1939
Dy  0.4963  0.1939  0.3024
Dy  0.5037  0.8061  0.6976
Dy  0.6976  0.5037  0.8061
Dy  0.6976  0.8916  0.1939
Dy  0.8061  0.3024  0.1084
Dy  0.8061  0.6976  0.5037
Dy  0.8916  0.1939  0.6976
Co  0.1134  0.6134  0.5000
Co  0.3866  0.5000  0.8866
Co  0.5000  0.1134  0.6134
Co  0.5000  0.8866  0.3866
Co  0.6134  0.5000  0.1134
Co  0.8866  0.3866  0.5000
Hg  0.0000  0.0000  0.0000


(5)
The following is a theoretical XRD peak list of Sr2Cu3PbO6. It was derived from the PBE geometry in Alexandria, using a wavelength of 1.5418 Å.
No peak broadening, texture or thermal motion is included.

Main lines, sorted by position (10 to 90 degrees two-theta):
Position (°2θ), I (rel.)
24.3, 19.1
32.0, 100.0
33.1, 52.6
37.6, 25.6
39.9, 11.2
44.3, 10.2
44.6, 9.2
47.4, 28.2
56.4, 12.8
58.4, 35.9
62.0, 11.4
66.9, 11.0

Cell and atoms:
abc: 3.8328 3.8328 12.2715
angles: 90.00 90.00 90.00
Fractional coordinates of all 12 atoms:
Sr  0.0000  0.0000  0.2005
Sr  0.0000  0.0000  0.7995
Cu  0.5000  0.5000  0.0000
Cu  0.5000  0.5000  0.3465
Cu  0.5000  0.5000  0.6535
Pb  0.0000  0.0000  0.5000
O  0.0000  0.5000  0.3480
O  0.0000  0.5000  0.6520
O  0.5000  0.0000  0.3480
O  0.5000  0.0000  0.6520
O  0.5000  0.5000  0.1450
O  0.5000  0.5000  0.8550


(6)
The following is a theoretical XRD peak list of KSrMg2Pd. It was derived from the PBE geometry in Alexandria, using a wavelength of 1.5418 Å.
No peak broadening, texture or thermal motion is included.

Main lines, sorted by position (10 to 90 degrees two-theta):
Position (°2θ), I (rel.)
16.5, 100.0
22.6, 15.9
23.4, 64.0
31.0, 37.7
33.3, 61.7
35.3, 30.8
37.4, 26.3
39.2, 32.2
46.2, 48.1
47.9, 21.5
49.3, 24.1
58.1, 23.6

Cell and atoms:
abc: 5.3745 5.3745 5.7713
angles: 90.00 90.00 90.00
Fractional coordinates of all 5 atoms:
K  0.0000  0.0000  0.0000
Sr  0.5000  0.5000  0.0000
Mg  0.0000  0.5000  0.5000
Mg  0.5000  0.0000  0.5000
Pd  0.5000  0.5000  0.5000


(7)
The following is a theoretical XRD peak list of AcZn6Cd12. It was derived from the PBE geometry in Alexandria, using a wavelength of 1.5418 Å.
No peak broadening, texture or thermal motion is included.

Main lines, sorted by position (10 to 90 degrees two-theta):
Position (°2θ), I (rel.)
23.8, 7.3
24.9, 8.4
31.4, 100.0
35.5, 14.8
37.7, 23.1
38.4, 8.4
41.1, 32.5
45.7, 9.0
46.3, 27.3
57.0, 13.1
57.5, 7.8
67.1, 12.0

Cell and atoms:
abc: 7.8407 7.8407 7.8407
angles: 104.40 104.40 104.40
Fractional coordinates of all 19 atoms:
Ac  0.0000  0.0000  0.0000
Zn  0.2703  0.2703  0.7158
Zn  0.2703  0.7158  0.2703
Zn  0.2842  0.7297  0.7297
Zn  0.7158  0.2703  0.2703
Zn  0.7297  0.2842  0.7297
Zn  0.7297  0.7297  0.2842
Cd  0.1144  0.5000  0.8856
Cd  0.1144  0.8856  0.5000
Cd  0.1577  0.4081  0.4081
Cd  0.4081  0.1577  0.4081
Cd  0.4081  0.4081  0.1577
Cd  0.5000  0.1144  0.8856
Cd  0.5000  0.8856  0.1144
Cd  0.5919  0.5919  0.8423
Cd  0.5919  0.8423  0.5919
Cd  0.8423  0.5919  0.5919
Cd  0.8856  0.1144  0.5000
Cd  0.8856  0.5000  0.1144


(8)
The following is a theoretical XRD peak list of Pr3Mg2Zn3. It was derived from the PBE geometry in Alexandria, using a wavelength of 1.5418 Å.
No peak broadening, texture or thermal motion is included.

Main lines, sorted by position (10 to 90 degrees two-theta):
Position (°2θ), I (rel.)
24.3, 7.9
34.0, 25.7
34.2, 100.0
34.9, 23.2
48.8, 9.2
49.5, 16.7
60.9, 9.3
61.0, 19.3
61.4, 8.8
62.1, 15.7
72.1, 10.5
81.8, 8.7

Cell and atoms:
abc: 10.7899 10.7899 10.7899
angles: 160.10 151.74 34.81
Fractional coordinates of all 8 atoms:
Pr  0.0000  0.0000  0.0000
Pr  0.3756  0.8756  0.5000
Pr  0.6244  0.1244  0.5000
Mg  0.2329  0.2329  0.0000
Mg  0.7671  0.7671  0.0000
Zn  0.1254  0.6254  0.5000
Zn  0.5000  0.5000  0.0000
Zn  0.8746  0.3746  0.5000


(9)
The following is a theoretical XRD peak list of BaH2Pd. It was derived from the PBE geometry in Alexandria, using a wavelength of 1.5418 Å.
No peak broadening, texture or thermal motion is included.

Main lines, sorted by position (10 to 90 degrees two-theta):
Position (°2θ), I (rel.)
18.3, 20.9
24.7, 93.3
24.8, 43.0
31.9, 49.7
32.3, 100.0
38.0, 64.9
38.2, 36.3
40.9, 23.7
50.6, 30.3
54.2, 15.6
57.1, 16.9
61.6, 19.1

Cell and atoms:
abc: 5.4225 5.5414 5.5414
angles: 119.20 90.00 90.00
Fractional coordinates of all 8 atoms:
Ba  0.2500  0.1707  0.8293
Ba  0.7500  0.8293  0.1707
H  0.2500  0.6159  0.3679
H  0.2500  0.6629  0.8313
H  0.7500  0.3679  0.6159
H  0.7500  0.8313  0.6629
Pd  0.0000  0.5411  0.5411
Pd  0.5000  0.5411  0.5411


(10)
The following is a theoretical XRD peak list of BaIn4AgAu2. It was derived from the PBE geometry in Alexandria, using a wavelength of 1.5418 Å.
No peak broadening, texture or thermal motion is included.

Main lines, sorted by position (10 to 90 degrees two-theta):
Position (°2θ), I (rel.)
16.9, 15.5
24.4, 12.0
31.4, 100.0
37.8, 99.0
38.2, 30.6
49.9, 27.1
51.8, 14.9
64.3, 25.1
68.3, 17.1
68.5, 10.5
80.8, 10.8
89.2, 10.9

Cell and atoms:
abc: 10.8695 10.8695 10.8695
angles: 25.29 25.29 25.29
Fractional coordinates of all 8 atoms:
Ba  0.0000  0.0000  0.0000
In  0.1308  0.1308  0.1308
In  0.4032  0.4032  0.4032
In  0.5968  0.5968  0.5968
In  0.8692  0.8692  0.8692
Ag  0.5000  0.5000  0.5000
Au  0.2418  0.2418  0.2418
Au  0.7582  0.7582  0.7582


(11)
The following is a theoretical XRD peak list of Ag5Te7. It was derived from the PBE geometry in Alexandria, using a wavelength of 1.5418 Å.
No peak broadening, texture or thermal motion is included.

Main lines, sorted by position (10 to 90 degrees two-theta):
Position (°2θ), I (rel.)
12.7, 63.5
16.3, 71.0
25.5, 73.1
26.5, 30.3
30.4, 100.0
36.3, 26.4
38.6, 46.6
39.4, 32.4
43.5, 42.5
45.2, 40.1
45.8, 28.9
47.4, 35.2

Cell and atoms:
abc: 8.4450 8.4450 8.4450
angles: 114.37 114.37 100.06
Fractional coordinates of all 12 atoms:
Ag  0.0000  0.0000  0.0000
Ag  0.4527  0.4527  0.6044
Ag  0.4527  0.8483  0.0000
Ag  0.8483  0.4527  0.0000
Ag  0.8483  0.8483  0.3956
Te  0.0830  0.3814  0.2984
Te  0.0830  0.7846  0.7016
Te  0.3814  0.0830  0.2984
Te  0.3883  0.8883  0.5000
Te  0.7387  0.7387  0.0000
Te  0.7846  0.0830  0.7016
Te  0.8883  0.3883  0.5000


(12)
The following is a theoretical XRD peak list of Pm12PrSm5. It was derived from the PBE geometry in Alexandria, using a wavelength of 1.5418 Å.
No peak broadening, texture or thermal motion is included.

Main lines, sorted by position (10 to 90 degrees two-theta):
Position (°2θ), I (rel.)
29.4, 24.7
30.2, 30.4
31.4, 100.0
34.1, 10.9
42.7, 17.8
47.3, 8.1
53.5, 12.6
54.5, 21.0
56.7, 7.2
57.2, 9.1
65.6, 9.2
77.9, 6.2

Cell and atoms:
abc: 10.5778 10.5778 6.0692
angles: 90.00 90.00 113.98
Fractional coordinates of all 18 atoms:
Pm  0.0119  0.3433  0.0550
Pm  0.1551  0.4869  0.5554
Pm  0.1694  0.1694  0.4606
Pm  0.3277  0.3277  0.9602
Pm  0.3433  0.0119  0.0550
Pm  0.4869  0.1551  0.5554
Pm  0.5131  0.8449  0.4446
Pm  0.6567  0.9881  0.9450
Pm  0.6723  0.6723  0.0398
Pm  0.8306  0.8306  0.5394
Pm  0.8449  0.5131  0.4446
Pm  0.9881  0.6567  0.9450
Pr  0.5000  0.5000  0.5000
Sm  0.0000  0.0000  0.0000
Sm  0.1712  0.8288  0.5000
Sm  0.3297  0.6703  0.0000
Sm  0.6703  0.3297  0.0000
Sm  0.8288  0.1712  0.5000


(13)
The following is a theoretical XRD peak list of CaPm2Bi3. It was derived from the PBE geometry in Alexandria, using a wavelength of 1.5418 Å.
No peak broadening, texture or thermal motion is included.

Main lines, sorted by position (10 to 90 degrees two-theta):
Position (°2θ), I (rel.)
23.7, 13.3
27.4, 100.0
39.1, 40.3
39.3, 38.8
46.4, 7.0
48.2, 7.2
48.6, 21.4
56.6, 13.9
63.9, 18.7
64.2, 18.8
71.1, 14.2
71.2, 6.9

Cell and atoms:
abc: 4.5861 4.5861 11.3258
angles: 90.00 90.00 120.00
Fractional coordinates of all 6 atoms:
Ca  0.0000  0.0000  0.0000
Pm  0.3333  0.6667  0.6693
Pm  0.6667  0.3333  0.3307
Bi  0.0000  0.0000  0.5000
Bi  0.3333  0.6667  0.1708
Bi  0.6667  0.3333  0.8292